Starting from a structure optimized by DFT (PBE), the X-ray diffraction stick pattern of Ba2ZnAg2Se2O2 was calculated for Cu Ka.
Peak positions follow from Bragg's law for the DFT cell and can differ from measured ones.

Cell and atoms:
Cell: 20.042 6.102 6.103 Å, 90.00 90.00 90.00°
Space group Cmce (No. 64)
Symmetry-distinct sites (fractional):
Ba (0.088, 0.000, 0.000) x8
Zn (0.000, 0.000, 0.500) x4
Ag (0.250, 0.248, 0.250) x8
Se (0.163, 0.000, 0.500) x8
O (0.000, 0.218, 0.283) x8

Main lines, by intensity (2θ from 10° to 90°):
30.4°, I 100, hkl 5 1 1
34.4°, I 94, hkl 4 2 0
41.9°, I 79, hkl 0 2 2
30.6°, I 65, hkl 2 2 0
37.7°, I 52, hkl 7 1 1
52.6°, I 41, hkl 5 3 1
57.6°, I 29, hkl 7 3 1
71.4°, I 29, hkl 12 2 2
60.7°, I 25, hkl 0 4 0
29.3°, I 21, hkl 0 2 0